1.
Diffraction record for Li3Mn2O5. The powder diffractogram is simulated, not measured: it uses a PBE+U-relaxed structure and Cu Kα (λ = 1.5418 Å).

Top 10 peaks for 10 to 90 degrees two-theta, in order of rising 2θ:
index  2θ (°)  d [Å]  I (rel.)
0 0 1  14.35  6.172  8
0 1 -1  18.40  4.821  100
2 -1 0  34.52  2.598  15
-1 1 2  36.36  2.471  11
1 1 1  36.49  2.462  11
2 -2 1  41.58  2.172  32
1 0 -3  44.25  2.047  27
1 2 0  44.51  2.035  27
-3 2 2  62.21  1.492  8
3 0 1  62.41  1.488  16

Structure:
Cell: 5.242 5.939 6.507 Å, 104.48 95.68 109.61°
Space group P-1 (No. 2)
Unique sites:
Li  0.000  0.000  0.000 x1
Li  0.000  0.500  0.000 x1
Li  0.209  0.398  0.400 x2
Li  0.391  0.795  0.811 x2
Mn  0.199  0.897  0.399 x2
Mn  0.401  0.301  0.802 x2
O  0.114  0.418  0.703 x2
O  0.122  0.961  0.700 x2
O  0.324  0.839  0.126 x2
O  0.327  0.360  0.092 x2
O  0.479  0.244  0.513 x2



2.
Diffraction record for SrNbVInO6. The powder diffractogram is simulated, not measured: it uses a PBE+U-relaxed structure and Cu Kα (λ = 1.5418 Å).

Top 10 peaks for 10 to 90 degrees two-theta, in order of rising 2θ:
index  2θ (°)  d [Å]  I (rel.)
1 1 1  19.22  4.617  6
2 2 0  31.64  2.828  100
3 1 1  37.29  2.411  4
2 2 2  39.01  2.309  9
4 0 0  45.36  1.999  35
4 2 2  56.36  1.632  38
4 4 0  66.09  1.414  20
6 2 0  75.13  1.265  16
6 2 2  79.50  1.206  2
4 4 4  83.80  1.154  7

Structure:
Cell: 7.997 7.997 7.997 Å, 90.00 90.00 90.00°
Space group F-43m (No. 216)
Unique sites:
Sr  0.000  0.000  0.000 x4
Nb  0.250  0.250  0.250 x4
V  0.250  0.250  0.750 x4
In  0.000  0.000  0.500 x4
O  0.002  0.250  0.750 x24



3.
Diffraction record for LiVF4. The powder diffractogram is simulated, not measured: it uses a PBE+U-relaxed structure and Cu Kα (λ = 1.5418 Å).

Top 10 peaks for 10 to 90 degrees two-theta, in order of rising 2θ:
index  2θ (°)  d [Å]  I (rel.)
1 -1 0  17.72  5.005  69
1 1 0  18.06  4.912  66
0 1 -2  18.24  4.864  89
0 1 2  18.36  4.832  86
-1 1 2  23.40  3.801  46
1 1 -2  23.59  3.771  100
0 2 -2  25.17  3.538  59
0 2 2  25.35  3.514  73
2 0 0  29.93  2.985  56
0 3 4  43.89  2.063  57

Structure:
Cell: 5.972 8.900 11.564 Å, 90.39 90.90 91.15°
Space group P1 (No. 1)
Unique sites:
Li  0.000  0.000  0.000 x1
Li  0.005  0.052  0.258 x1
Li  0.360  0.813  0.922 x1
Li  0.407  0.279  0.665 x1
Li  0.477  0.554  0.502 x1
Li  0.501  0.501  0.247 x1
Li  0.535  0.520  0.984 x1
Li  0.994  0.001  0.510 x1
V  0.016  0.664  0.315 x1
V  0.049  0.379  0.062 x1
V  0.447  0.879  0.677 x1
V  0.483  0.166  0.424 x1
V  0.512  0.168  0.937 x1
V  0.548  0.868  0.181 x1
V  0.944  0.377  0.560 x1
V  0.965  0.667  0.807 x1
F  0.014  0.236  0.182 x1
F  0.019  0.554  0.661 x1
F  0.020  0.243  0.676 x1
F  0.039  0.810  0.931 x1
F  0.095  0.507  0.921 x1
F  0.153  0.933  0.635 x1
F  0.186  0.208  0.973 x1
F  0.198  0.078  0.389 x1
F  0.235  0.819  0.228 x1
F  0.274  0.332  0.510 x1
F  0.296  0.577  0.360 x1
F  0.299  0.716  0.775 x1
F  0.351  0.445  0.106 x1
F  0.403  0.994  0.830 x1
F  0.436  0.024  0.069 x1
F  0.479  0.310  0.819 x1
F  0.481  0.754  0.546 x1
F  0.512  0.732  0.050 x1
F  0.519  0.079  0.584 x1
F  0.523  0.311  0.310 x1
F  0.608  0.005  0.318 x1
F  0.636  0.418  0.603 x1
F  0.680  0.697  0.270 x1
F  0.688  0.594  0.858 x1
F  0.717  0.340  0.019 x1
F  0.757  0.825  0.726 x1
F  0.789  0.084  0.910 x1
F  0.819  0.201  0.464 x1
F  0.850  0.935  0.139 x1
F  0.874  0.511  0.423 x1
F  0.961  0.545  0.171 x1
F  0.969  0.824  0.417 x1



4.
Diffraction record for Li9MnSi2O10. The powder diffractogram is simulated, not measured: it uses a PBE+U-relaxed structure and Cu Kα (λ = 1.5418 Å).

Top 10 peaks for 10 to 90 degrees two-theta, in order of rising 2θ:
index  2θ (°)  d [Å]  I (rel.)
1 0 0  16.75  5.294  45
1 0 -1  16.91  5.244  28
0 0 3  17.67  5.019  26
1 0 1  18.54  4.786  38
0 1 2  20.21  4.395  56
1 -1 0  22.01  4.039  100
1 0 -3  22.58  3.937  63
1 1 -1  22.84  3.894  54
2 0 -1  33.47  2.677  60
0 2 -4  36.57  2.457  24

Structure:
Cell: 5.360 5.920 15.309 Å, 96.24 98.10 91.97°
Space group P1 (No. 1)
Unique sites:
Li  0.000  0.000  0.000 x1
Li  0.006  0.484  0.999 x1
Li  0.023  0.291  0.153 x1
Li  0.149  0.676  0.336 x1
Li  0.167  0.092  0.337 x1
Li  0.202  0.372  0.871 x1
Li  0.240  0.943  0.874 x1
Li  0.349  0.765  0.078 x1
Li  0.419  0.420  0.742 x1
Li  0.427  0.552  0.222 x1
Li  0.441  0.082  0.217 x1
Li  0.449  0.523  0.595 x1
Li  0.636  0.719  0.969 x1
Li  0.677  0.857  0.331 x1
Li  0.694  0.183  0.875 x1
Li  0.856  0.190  0.436 x1
Li  0.927  0.544  0.631 x1
Li  0.966  0.636  0.480 x1
Mn  0.225  0.041  0.520 x1
Mn  0.286  0.952  0.701 x1
Si  0.487  0.396  0.422 x1
Si  0.503  0.256  0.040 x1
Si  0.871  0.677  0.800 x1
Si  0.910  0.794  0.172 x1
O  0.016  0.900  0.417 x1
O  0.045  0.584  0.220 x1
O  0.071  0.030  0.219 x1
O  0.158  0.688  0.762 x1
O  0.197  0.778  0.583 x1
O  0.206  0.337  0.456 x1
O  0.308  0.211  0.631 x1
O  0.358  0.152  0.803 x1
O  0.374  0.002  0.993 x1
O  0.379  0.469  0.986 x1
O  0.431  0.300  0.140 x1
O  0.484  0.609  0.365 x1
O  0.539  0.156  0.363 x1
O  0.614  0.810  0.192 x1
O  0.664  0.639  0.708 x1
O  0.704  0.437  0.511 x1
O  0.807  0.250  0.031 x1
O  0.862  0.907  0.868 x1
O  0.864  0.463  0.859 x1
O  0.937  0.757  0.065 x1



- What is the formula in the first record?
  Li3Mn2O5